# 1
Theoretical powder X-ray diffraction pattern
Compound: AcAlAg2Sn
Radiation: Cu Kα (λ = 1.5418 Å)
Structure: a cell relaxed with PBE

Cell and atoms:
Cell lengths 4.5418, 4.6599, 11.5317 Å; angles 90.00, 90.00, 90.00 degrees
Atoms (fractional coordinates):
Ac 0.0000 0.0000 0.0000
Ac 0.5000 0.5000 0.5000
Al 0.0000 0.0000 0.3893
Al 0.5000 0.5000 0.8893
Ag 0.0000 0.0000 0.6106
Ag 0.0000 0.5000 0.2700
Ag 0.5000 0.0000 0.7700
Ag 0.5000 0.5000 0.1106
Sn 0.0000 0.5000 0.7478
Sn 0.5000 0.0000 0.2478

Most intense lines, 2θ from 10° to 90°, in order of rising 2θ:
2θ/deg  I/Imax
30.14  158
30.47  267
31.58  1000
38.64  215
39.69  199
43.80  158
49.99  134
56.60  141
60.57  120
65.55  124



# 2
Theoretical powder X-ray diffraction pattern
Compound: AcAl8ZnAg2
Radiation: Cu Kα (λ = 1.5418 Å)
Structure: a cell relaxed with PBE

Cell and atoms:
Cell lengths 4.9873, 4.9873, 11.4849 Å; angles 92.62, 92.62, 61.93 degrees
Atoms (fractional coordinates):
Ac 0.0000 0.0000 0.0000
Al 0.2426 0.7441 0.6961
Al 0.2559 0.7574 0.3039
Al 0.2843 0.2843 0.8255
Al 0.3269 0.3269 0.4866
Al 0.6731 0.6731 0.5134
Al 0.7157 0.7157 0.1745
Al 0.7441 0.2426 0.6961
Al 0.7574 0.2559 0.3039
Zn 0.0000 0.0000 0.5000
Ag 0.2617 0.2617 0.2171
Ag 0.7383 0.7383 0.7829

Most intense lines, 2θ from 10° to 90°, in order of rising 2θ:
2θ/deg  I/Imax
20.19  551
21.44  1000
25.18  621
25.33  498
26.68  409
31.20  429
31.42  427
36.08  423
42.35  400
43.67  477



# 3
Theoretical powder X-ray diffraction pattern
Compound: Ac2AlZnAg6
Radiation: Cu Kα (λ = 1.5418 Å)
Structure: a cell relaxed with PBE

Cell and atoms:
Cell lengths 7.0590, 7.0515, 7.0460 Å; angles 60.10, 59.99, 59.91 degrees
Atoms (fractional coordinates):
Ac 0.2500 0.2500 0.2500
Ac 0.7500 0.7500 0.7500
Al 0.0000 0.0000 0.0000
Zn 0.5000 0.5000 0.5000
Ag 0.2501 0.2501 0.7499
Ag 0.2501 0.7499 0.2501
Ag 0.2500 0.7500 0.7500
Ag 0.7500 0.2500 0.2500
Ag 0.7499 0.2501 0.7499
Ag 0.7499 0.7499 0.2501

Most intense lines, 2θ from 10° to 90°, in order of rising 2θ:
2θ/deg  I/Imax
25.26  235
31.06  1000
35.99  481
36.09  238
51.84  332
51.91  165
61.64  274
61.79  136
64.76  167
84.70  115



# 4
Theoretical powder X-ray diffraction pattern
Compound: AcAgAsO
Radiation: Cu Kα (λ = 1.5418 Å)
Structure: a cell relaxed with PBE

Cell and atoms:
Cell lengths 3.6664, 3.6664, 12.7733 Å; angles 90.00, 90.00, 90.00 degrees
Atoms (fractional coordinates):
Ac 0.0000 0.0000 0.0000
Ac 0.5000 0.5000 0.5000
Ag 0.0000 0.0000 0.2853
Ag 0.5000 0.5000 0.7853
As 0.0000 0.0000 0.7340
As 0.5000 0.5000 0.2340
O 0.0000 0.0000 0.4811
O 0.5000 0.5000 0.9811

Most intense lines, 2θ from 10° to 90°, in order of rising 2θ:
2θ/deg  I/Imax
25.27  621
27.94  597
32.22  1000
34.60  858
45.04  650
49.74  304
56.32  334
58.01  304
60.51  341
78.41  257



# 5
Theoretical powder X-ray diffraction pattern
Compound: Ac2AgAsO5
Radiation: Cu Kα (λ = 1.5418 Å)
Structure: a cell relaxed with PBE

Cell and atoms:
Cell lengths 7.2352, 7.2352, 5.9965 Å; angles 90.00, 90.00, 90.00 degrees
Atoms (fractional coordinates):
Ac 0.1796 0.3204 0.0000
Ac 0.3204 0.8204 0.0000
Ac 0.6796 0.1796 0.0000
Ac 0.8204 0.6796 0.0000
Ag 0.0000 0.0000 0.5000
Ag 0.5000 0.5000 0.5000
As 0.0000 0.5000 0.5000
As 0.5000 0.0000 0.5000
O 0.0000 0.0000 0.0000
O 0.1325 0.6324 0.2560
O 0.1325 0.6324 0.7440
O 0.3676 0.1325 0.2560
O 0.3676 0.1325 0.7440
O 0.5000 0.5000 0.0000
O 0.6324 0.8676 0.2560
O 0.6324 0.8676 0.7440
O 0.8676 0.3676 0.2560
O 0.8676 0.3676 0.7440

Most intense lines, 2θ from 10° to 90°, in order of rising 2θ:
2θ/deg  I/Imax
14.77  395
27.57  355
28.82  1000
29.80  376
31.42  750
35.08  217
41.04  482
52.29  195
54.48  262
61.20  192



# 6
Theoretical powder X-ray diffraction pattern
Compound: AcAgAsO5
Radiation: Cu Kα (λ = 1.5418 Å)
Structure: a cell relaxed with PBE

Cell and atoms:
Cell lengths 6.1799, 6.1799, 8.8309 Å; angles 99.73, 99.73, 115.92 degrees
Atoms (fractional coordinates):
Ac 0.0000 0.0000 0.0000
Ac 0.0000 0.0000 0.5000
Ag 0.2969 0.7031 0.7500
Ag 0.7031 0.2969 0.2500
As 0.3027 0.6973 0.2500
As 0.6973 0.3027 0.7500
O 0.0325 0.6495 0.3135
O 0.0950 0.9050 0.7500
O 0.2529 0.4690 0.0900
O 0.3505 0.9675 0.1865
O 0.4690 0.2529 0.5900
O 0.5310 0.7471 0.4100
O 0.6495 0.0325 0.8135
O 0.7471 0.5310 0.9100
O 0.9050 0.0950 0.2500
O 0.9675 0.3505 0.6865

Most intense lines, 2θ from 10° to 90°, in order of rising 2θ:
2θ/deg  I/Imax
16.58  568
23.12  756
27.27  1000
28.73  478
29.33  714
30.52  250
34.52  409
44.96  250
48.76  428
53.02  188